Structure and theoretical powder diffractogram of BaNpP (a crystal structure in Alexandria, relaxed with PBE; CuKα).
Intensities are scaled so that the largest is 100.

Top 10 peaks for 10° ≤ 2θ ≤ 90°, in order of rising 2θ:
2θ = 15.07°, rel. 32; 2θ = 22.69°, rel. 98; 2θ = 25.89°, rel. 45; 2θ = 30.41°, rel. 22; 2θ = 33.96°, rel. 99; 2θ = 36.50°, rel. 100; 2θ = 36.59°, rel. 32; 2θ = 47.47°, rel. 42; 2θ = 51.46°, rel. 24; 2θ = 53.30°, rel. 21

```
BaNpP
1.0
5.4173 0.0000 0.0000
0.0000 5.4176 0.0000
-2.6575 0.0000 11.7588
Ba Np P
4 4 4
direct
0.1537 0.0000 0.3134
0.3463 0.5000 0.6866
0.6537 0.5000 0.3134
0.8463 0.0000 0.6866
0.2500 0.2500 0.0000
0.2500 0.7500 0.0000
0.7500 0.2500 0.0000
0.7500 0.7500 0.0000
0.0857 0.5000 0.1748
0.4143 0.0000 0.8252
0.5857 0.0000 0.1748
0.9143 0.5000 0.8252
```

=====

Structure and theoretical powder diffractogram of BaNpP2Se8 (a crystal structure in Alexandria, relaxed with PBE; CuKα).
Intensities are scaled so that the largest is 100.

Top 10 peaks for 10° ≤ 2θ ≤ 90°, in order of rising 2θ:
2θ = 15.95°, rel. 29; 2θ = 18.46°, rel. 29; 2θ = 24.54°, rel. 47; 2θ = 27.81°, rel. 19; 2θ = 29.36°, rel. 46; 2θ = 33.62°, rel. 100; 2θ = 47.26°, rel. 15; 2θ = 47.39°, rel. 38; 2θ = 49.19°, rel. 36; 2θ = 60.90°, rel. 18

```
BaNpP2Se8
1.0
6.4169 0.0000 0.0000
-3.2084 5.5572 0.0000
0.0000 0.0000 9.5743
Ba Np P Se
1 1 2 8
direct
0.0000 0.0000 0.0000
0.0000 0.0000 0.5000
0.3333 0.6667 0.7561
0.6667 0.3333 0.2439
0.0127 0.6617 0.3133
0.3333 0.6667 0.9827
0.3383 0.3510 0.3133
0.3510 0.0127 0.6867
0.6490 0.9873 0.3133
0.6617 0.6490 0.6867
0.6667 0.3333 0.0173
0.9873 0.3383 0.6867
```

=====

Structure and theoretical powder diffractogram of Ba2NpPaSe6 (a crystal structure in Alexandria, relaxed with PBE; CuKα).
Intensities are scaled so that the largest is 100.

Top 10 peaks for 10° ≤ 2θ ≤ 90°, in order of rising 2θ:
2θ = 16.27°, rel. 58; 2θ = 22.41°, rel. 25; 2θ = 23.09°, rel. 100; 2θ = 23.71°, rel. 23; 2θ = 32.88°, rel. 92; 2θ = 36.01°, rel. 21; 2θ = 36.89°, rel. 31; 2θ = 40.19°, rel. 20; 2θ = 41.31°, rel. 46; 2θ = 47.19°, rel. 30

```
Ba2NpPaSe6
1.0
7.5063 0.0000 0.0000
0.0000 7.9335 0.0000
-7.5069 0.0000 10.8845
Ba Np Pa Se
4 2 2 12
direct
0.2273 0.0724 0.2494
0.2273 0.4276 0.7494
0.7727 0.5724 0.2506
0.7727 0.9276 0.7506
0.0000 0.0000 0.5000
0.0000 0.5000 0.0000
0.5000 0.0000 0.0000
0.5000 0.5000 0.5000
0.1530 0.1964 0.9527
0.1530 0.3036 0.4527
0.2563 0.7050 0.9500
0.2563 0.7950 0.4500
0.3462 0.0228 0.7537
0.3462 0.4772 0.2537
0.6538 0.5228 0.7463
0.6538 0.9772 0.2463
0.7437 0.2050 0.5500
0.7437 0.2950 0.0500
0.8470 0.6964 0.5473
0.8470 0.8036 0.0473
```

=====

Structure and theoretical powder diffractogram of BaNpPd2Se4 (a crystal structure in Alexandria, relaxed with PBE; CuKα).
Intensities are scaled so that the largest is 100.

Top 10 peaks for 10° ≤ 2θ ≤ 90°, in order of rising 2θ:
2θ = 25.21°, rel. 14; 2θ = 27.52°, rel. 100; 2θ = 32.94°, rel. 29; 2θ = 35.95°, rel. 52; 2θ = 42.45°, rel. 12; 2θ = 45.86°, rel. 55; 2θ = 51.76°, rel. 17; 2θ = 56.81°, rel. 20; 2θ = 71.62°, rel. 12; 2θ = 82.83°, rel. 12

```
BaNpPd2Se4
1.0
7.0653 0.0000 0.0000
0.0000 7.0653 0.0000
0.0000 0.0000 8.5186
Ba Np Pd Se
2 2 4 8
direct
0.0000 0.0000 0.0000
0.5000 0.5000 0.5000
0.0000 0.0000 0.5000
0.5000 0.5000 0.0000
0.0000 0.5000 0.2500
0.0000 0.5000 0.7500
0.5000 0.0000 0.2500
0.5000 0.0000 0.7500
0.2217 0.2217 0.7086
0.2217 0.7783 0.2914
0.2783 0.2783 0.2086
0.2783 0.7217 0.7914
0.7217 0.2783 0.7914
0.7217 0.7217 0.2086
0.7783 0.2217 0.2914
0.7783 0.7783 0.7086
```

=====

Structure and theoretical powder diffractogram of BaNpTe3Pd (a crystal structure in Alexandria, relaxed with PBE; CuKα).
Intensities are scaled so that the largest is 100.

Top 10 peaks for 10° ≤ 2θ ≤ 90°, in order of rising 2θ:
2θ = 11.53°, rel. 61; 2θ = 27.91°, rel. 100; 2θ = 28.22°, rel. 59; 2θ = 32.18°, rel. 16; 2θ = 33.62°, rel. 36; 2θ = 38.81°, rel. 26; 2θ = 40.30°, rel. 30; 2θ = 42.61°, rel. 24; 2θ = 44.80°, rel. 20; 2θ = 57.18°, rel. 17

```
BaNpTe3Pd
1.0
9.2922 0.0000 0.0000
0.0000 4.4765 0.0000
-2.7429 0.0000 9.6080
Ba Np Te Pd
2 2 6 2
direct
0.1906 0.2500 0.2525
0.8094 0.7500 0.7475
0.3199 0.7500 0.8403
0.6801 0.2500 0.1597
0.1052 0.2500 0.8723
0.2244 0.7500 0.5295
0.4471 0.7500 0.1658
0.5529 0.2500 0.8342
0.7756 0.2500 0.4705
0.8948 0.7500 0.1277
0.0862 0.2500 0.5868
0.9138 0.7500 0.4132
```

=====

Structure and theoretical powder diffractogram of RbBa2Np3S8 (a crystal structure in Alexandria, relaxed with PBE; CuKα).
Intensities are scaled so that the largest is 100.

Top 10 peaks for 10° ≤ 2θ ≤ 90°, in order of rising 2θ:
2θ = 11.85°, rel. 76; 2θ = 12.82°, rel. 48; 2θ = 23.33°, rel. 47; 2θ = 24.36°, rel. 100; 2θ = 24.86°, rel. 80; 2θ = 25.81°, rel. 49; 2θ = 29.33°, rel. 81; 2θ = 37.47°, rel. 52; 2θ = 40.70°, rel. 67; 2θ = 43.18°, rel. 65

```
RbBa2Np3S8
1.0
4.1902 2.4192 7.4664
-4.1902 2.4192 7.4664
0.0000 -4.8385 7.4664
Rb Ba Np S
1 2 3 8
direct
0.0000 0.0000 0.0000
0.3671 0.3671 0.3671
0.7432 0.7432 0.7432
0.3677 0.3677 0.8720
0.3677 0.8720 0.3677
0.8720 0.3677 0.3677
0.1180 0.1180 0.5594
0.1180 0.5594 0.1180
0.1416 0.1416 0.1416
0.1728 0.6176 0.6176
0.5594 0.1180 0.1180
0.6001 0.6001 0.6001
0.6176 0.1728 0.6176
0.6176 0.6176 0.1728
```

=====

Structure and theoretical powder diffractogram of RbBaNpS4 (a crystal structure in Alexandria, relaxed with PBE; CuKα).
Intensities are scaled so that the largest is 100.

Top 10 peaks for 10° ≤ 2θ ≤ 90°, in order of rising 2θ:
2θ = 11.04°, rel. 62; 2θ = 17.95°, rel. 28; 2θ = 23.90°, rel. 100; 2θ = 24.24°, rel. 78; 2θ = 32.83°, rel. 35; 2θ = 34.54°, rel. 53; 2θ = 41.82°, rel. 24; 2θ = 42.44°, rel. 46; 2θ = 48.40°, rel. 24; 2θ = 48.92°, rel. 26

```
RbBaNpS4
1.0
5.1935 0.0000 0.0000
0.0000 5.1935 0.0000
0.0000 0.0000 16.0271
Rb Ba Np S
2 2 2 8
direct
0.0000 0.0000 0.0000
0.5000 0.5000 0.5000
0.0000 0.0000 0.7183
0.5000 0.5000 0.2183
0.0000 0.0000 0.3594
0.5000 0.5000 0.8594
0.0000 0.0000 0.2000
0.0000 0.0000 0.5168
0.0000 0.5000 0.3509
0.0000 0.5000 0.8509
0.5000 0.0000 0.3509
0.5000 0.0000 0.8509
0.5000 0.5000 0.0168
0.5000 0.5000 0.7000
```

=====

Structure and theoretical powder diffractogram of RbBa2Np3Se8 (a crystal structure in Alexandria, relaxed with PBE; CuKα).
Intensities are scaled so that the largest is 100.

Top 10 peaks for 10° ≤ 2θ ≤ 90°, in order of rising 2θ:
2θ = 11.37°, rel. 72; 2θ = 12.27°, rel. 40; 2θ = 22.36°, rel. 26; 2θ = 23.31°, rel. 63; 2θ = 23.78°, rel. 45; 2θ = 28.06°, rel. 100; 2θ = 35.86°, rel. 55; 2θ = 36.79°, rel. 29; 2θ = 38.94°, rel. 62; 2θ = 41.24°, rel. 69

```
RbBa2Np3Se8
1.0
4.3778 2.5275 7.7836
-4.3778 2.5275 7.7836
0.0000 -5.0550 7.7836
Rb Ba Np Se
1 2 3 8
direct
0.0000 0.0000 0.0000
0.2590 0.2590 0.2590
0.6340 0.6340 0.6340
0.1288 0.6332 0.6332
0.6332 0.1288 0.6332
0.6332 0.6332 0.1288
0.3831 0.3831 0.8310
0.3831 0.8310 0.3831
0.4000 0.4000 0.4000
0.4374 0.8834 0.8834
0.8310 0.3831 0.3831
0.8605 0.8605 0.8605
0.8834 0.4374 0.8834
0.8834 0.8834 0.4374
```